Diffraction record for SrLaRu2O6. The powder X-ray diffraction pattern is calculated, not measured: it uses a structure optimized by DFT (PBE) and a wavelength of 1.5418 Å.
Kinematic intensities with the Lorentz-polarization factor, no thermal factor.

Main lines, by angle (5° ≤ 2θ ≤ 70°):
| 2theta | d (Å) | I_rel |
| --- | --- | --- |
| 19.3 | 4.607 | 4 |
| 31.7 | 2.821 | 100 |
| 45.5 | 1.995 | 27 |
| 46.9 | 1.935 | 3 |
| 52.5 | 1.742 | 3 |
| 56.5 | 1.629 | 41 |
| 66.2 | 1.412 | 4 |
| 66.3 | 1.410 | 10 |

Crystal structure
Unit cell a=7.969 b=5.643 c=5.648 alpha=90.00 beta=90.00 gamma=90.00
Sites, in units of the cell vectors:
Sr: 0.000 0.213 0.000
Sr: 0.500 0.787 0.500
La: 0.000 0.710 0.513
La: 0.500 0.290 0.013
Ru: 0.249 0.250 0.505
Ru: 0.251 0.750 0.005
Ru: 0.749 0.750 0.005
Ru: 0.751 0.250 0.505
O: 0.000 0.264 0.432
O: 0.000 0.758 0.094
O: 0.206 0.954 0.709
O: 0.210 0.463 0.794
O: 0.290 0.537 0.294
O: 0.294 0.046 0.209
O: 0.500 0.242 0.594
O: 0.500 0.736 0.932
O: 0.706 0.046 0.209
O: 0.710 0.537 0.294
O: 0.790 0.463 0.794
O: 0.794 0.954 0.709

---

Diffraction record for Sr6La4Zn3Ru2O20. The powder X-ray diffraction pattern is calculated, not measured: it uses a structure optimized by DFT (PBE) and a wavelength of 1.5418 Å.
Kinematic intensities with the Lorentz-polarization factor, no thermal factor.

Main lines, by angle (5° ≤ 2θ ≤ 70°):
| 2theta | d (Å) | I_rel |
| --- | --- | --- |
| 13.9 | 6.351 | 10 |
| 30.8 | 2.900 | 100 |
| 31.7 | 2.823 | 35 |
| 31.9 | 2.804 | 35 |
| 42.2 | 2.141 | 19 |
| 42.7 | 2.117 | 13 |
| 45.6 | 1.990 | 36 |
| 55.9 | 1.644 | 18 |

Crystal structure
Unit cell a=5.646 b=6.948 c=14.299 alpha=85.31 beta=78.67 gamma=66.08
Sites, in units of the cell vectors:
Sr: 0.000 0.000 0.000
Sr: 0.076 0.435 0.395
Sr: 0.475 0.434 0.596
Sr: 0.595 0.006 0.795
Sr: 0.794 0.008 0.395
Sr: 0.873 0.436 0.798
La: 0.222 0.008 0.596
La: 0.242 0.443 0.002
La: 0.422 0.999 0.185
La: 0.661 0.442 0.186
Zn: 0.030 0.733 0.195
Zn: 0.629 0.728 0.995
Zn: 0.842 0.713 0.595
Ru: 0.235 0.720 0.795
Ru: 0.436 0.719 0.395
O: 0.018 0.364 0.594
O: 0.042 0.723 0.696
O: 0.079 0.042 0.788
O: 0.142 0.725 0.494
O: 0.239 0.358 0.189
O: 0.242 0.722 0.296
O: 0.274 0.041 0.396
O: 0.339 0.716 0.097
O: 0.392 0.401 0.800
O: 0.428 0.720 0.894
O: 0.448 0.082 0.004
O: 0.532 0.716 0.698
O: 0.598 0.402 0.392
O: 0.624 0.057 0.595
O: 0.632 0.720 0.492
O: 0.728 0.718 0.296
O: 0.822 0.082 0.198
O: 0.832 0.717 0.098
O: 0.841 0.377 0.002
O: 0.938 0.725 0.892

---

Diffraction record for LaSO. The powder X-ray diffraction pattern is calculated, not measured: it uses a structure optimized by DFT (PBE) and a wavelength of 1.5418 Å.
Kinematic intensities with the Lorentz-polarization factor, no thermal factor.

Main lines, by angle (5° ≤ 2θ ≤ 70°):
| 2theta | d (Å) | I_rel |
| --- | --- | --- |
| 22.2 | 4.011 | 26 |
| 29.2 | 3.055 | 100 |
| 30.0 | 2.974 | 28 |
| 40.6 | 2.220 | 27 |
| 43.0 | 2.103 | 17 |
| 48.9 | 1.863 | 16 |
| 51.3 | 1.780 | 24 |
| 52.8 | 1.733 | 17 |

Crystal structure
Unit cell a=5.950 b=5.946 c=13.332 alpha=90.00 beta=90.00 gamma=90.00
Sites, in units of the cell vectors:
La: 0.250 0.002 0.089
La: 0.250 0.002 0.411
La: 0.250 0.498 0.589
La: 0.250 0.498 0.911
La: 0.750 0.502 0.089
La: 0.750 0.502 0.411
La: 0.750 0.998 0.589
La: 0.750 0.998 0.911
S: 0.124 0.633 0.250
S: 0.124 0.867 0.750
S: 0.375 0.118 0.750
S: 0.375 0.382 0.250
S: 0.625 0.618 0.750
S: 0.625 0.882 0.250
S: 0.876 0.133 0.250
S: 0.876 0.367 0.750
O: 0.005 0.250 0.000
O: 0.005 0.250 0.500
O: 0.494 0.750 0.000
O: 0.494 0.750 0.500
O: 0.506 0.250 0.000
O: 0.506 0.250 0.500
O: 0.995 0.750 0.000
O: 0.995 0.750 0.500